Entry 1:
# Tb8Nd5Er
Computed PXRD pattern, Cu Kα, 1.54184 Å. Input: a crystal structure in Alexandria, relaxed with GGA-PBE.

Most intense lines, 2θ = 15–90°, sorted by position:
28.1°, rel. 49.0; 28.3°, rel. 100.0; 28.8°, rel. 35.9; 29.8°, rel. 46.8; 30.1°, rel. 99.1; 32.0°, rel. 54.0; 32.9°, rel. 72.6; 34.9°, rel. 82.8

abc: 8.1212 8.1212 9.4155
angles: 119.34 119.34 76.53
Sites, in units of the cell vectors:
Tb1 0.0674 0.0674 0.2325
Tb2 0.1452 0.5062 0.8900
Tb3 0.3300 0.0237 0.7368
Tb4 0.4938 0.8548 0.1100
Tb5 0.5359 0.2255 0.5690
Tb6 0.7745 0.4641 0.4310
Tb7 0.9326 0.9326 0.7675
Tb8 0.9763 0.6700 0.2632
Nd1 0.2375 0.5646 0.5972
Nd2 0.2976 0.2881 0.1582
Nd3 0.4354 0.7625 0.4028
Nd4 0.7119 0.7024 0.8418
Nd5 0.9026 0.0974 0.5000
Er1 0.6600 0.3400 0.0000

=====

Entry 2:
# Cs2SmInI6
Computed PXRD pattern, Cu Kα, 1.54184 Å. Input: a crystal structure in Alexandria, relaxed with GGA-PBE.

Most intense lines, 2θ = 15–90°, sorted by position:
19.8°, rel. 24.6; 23.6°, rel. 27.6; 23.8°, rel. 29.1; 28.1°, rel. 100.0; 30.7°, rel. 20.3; 31.5°, rel. 24.7; 35.1°, rel. 21.2; 40.3°, rel. 21.4

abc: 8.7521 9.2558 15.3709
angles: 90.00 124.36 90.00
Sites, in units of the cell vectors:
Cs1 0.2246 0.0748 0.2504
Cs2 0.2246 0.4252 0.7504
Cs3 0.7754 0.5748 0.2496
Cs4 0.7754 0.9252 0.7496
Sm1 0.5000 0.0000 0.0000
Sm2 0.5000 0.5000 0.5000
In1 0.0000 0.0000 0.5000
In2 0.0000 0.5000 0.0000
I1 0.1670 0.1846 0.9564
I2 0.1670 0.3154 0.4564
I3 0.2745 0.7174 0.9560
I4 0.2745 0.7826 0.4560
I5 0.3523 0.0168 0.7637
I6 0.3523 0.4832 0.2637
I7 0.6477 0.5168 0.7363
I8 0.6477 0.9832 0.2363
I9 0.7255 0.2174 0.5440
I10 0.7255 0.2826 0.0440
I11 0.8330 0.6846 0.5436
I12 0.8330 0.8154 0.0436

=====

Entry 3:
# Ta4In2S7
Computed PXRD pattern, Cu Kα, 1.54184 Å. Input: a crystal structure in Alexandria, relaxed with GGA-PBE.

Most intense lines, 2θ = 15–90°, sorted by position:
25.6°, rel. 57.1; 26.2°, rel. 100.0; 29.3°, rel. 91.9; 29.6°, rel. 53.2; 36.0°, rel. 34.1; 36.4°, rel. 54.6; 43.2°, rel. 74.2; 53.9°, rel. 31.5

abc: 5.0244 6.5392 8.2309
angles: 91.32 90.12 105.95
Sites, in units of the cell vectors:
Ta1 0.0232 0.0083 0.3086
Ta2 0.2233 0.7001 0.5238
Ta3 0.7767 0.2999 0.4762
Ta4 0.9768 0.9917 0.6914
In1 0.3553 0.6952 0.0129
In2 0.6447 0.3048 0.9871
S1 0.0000 0.0000 0.0000
S2 0.0710 0.3916 0.7247
S3 0.3073 0.3540 0.3738
S4 0.4853 0.0501 0.6825
S5 0.5147 0.9499 0.3175
S6 0.6927 0.6460 0.6262
S7 0.9290 0.6084 0.2753

=====

Entry 4:
# LiCu14Ni
Computed PXRD pattern, Cu Kα, 1.54184 Å. Input: a crystal structure in Alexandria, relaxed with GGA-PBE.

Most intense lines, 2θ = 15–90°, sorted by position:
42.1°, rel. 37.0; 42.3°, rel. 18.5; 43.4°, rel. 51.4; 46.3°, rel. 100.0; 46.5°, rel. 48.7; 52.7°, rel. 18.2; 74.1°, rel. 18.4; 90.0°, rel. 21.9

abc: 8.3470 5.1162 5.1162
angles: 60.30 90.00 90.00
Sites, in units of the cell vectors:
Li1 0.0000 0.0000 0.0000
Cu1 0.0000 0.5005 0.9987
Cu2 0.0000 0.9987 0.5005
Cu3 0.2460 0.3337 0.3337
Cu4 0.2495 0.3341 0.8311
Cu5 0.2495 0.8311 0.3341
Cu6 0.2506 0.8327 0.8327
Cu7 0.5000 0.1662 0.1662
Cu8 0.5000 0.1661 0.6655
Cu9 0.5000 0.6655 0.1661
Cu10 0.5000 0.6659 0.6659
Cu11 0.7494 0.8327 0.8327
Cu12 0.7505 0.3341 0.8311
Cu13 0.7505 0.8311 0.3341
Cu14 0.7540 0.3337 0.3337
Ni1 0.0000 0.5008 0.5008

=====

Entry 5:
# BaTl3Au8
Computed PXRD pattern, Cu Kα, 1.54184 Å. Input: a crystal structure in Alexandria, relaxed with GGA-PBE.

Most intense lines, 2θ = 15–90°, sorted by position:
32.7°, rel. 49.0; 36.4°, rel. 100.0; 37.5°, rel. 67.6; 40.8°, rel. 31.5; 56.7°, rel. 21.0; 59.1°, rel. 21.4; 59.9°, rel. 23.7; 65.5°, rel. 24.5

abc: 5.7033 5.7033 9.8869
angles: 90.00 90.00 120.00
Sites, in units of the cell vectors:
Ba1 0.0000 0.0000 0.0000
Tl1 0.0000 0.0000 0.3958
Tl2 0.6667 0.3333 0.4883
Tl3 0.6667 0.3333 0.8371
Au1 0.1661 0.3323 0.6855
Au2 0.1661 0.8339 0.6855
Au3 0.3333 0.6667 0.4370
Au4 0.3333 0.6667 0.9397
Au5 0.5017 0.0034 0.1911
Au6 0.5017 0.4983 0.1911
Au7 0.6677 0.8339 0.6855
Au8 0.9966 0.4983 0.1911

=====

Entry 6:
# Rb3Sb2Au5
Computed PXRD pattern, Cu Kα, 1.54184 Å. Input: a crystal structure in Alexandria, relaxed with GGA-PBE.

Most intense lines, 2θ = 15–90°, sorted by position:
16.6°, rel. 44.5; 18.6°, rel. 25.5; 29.0°, rel. 98.3; 30.2°, rel. 52.7; 33.7°, rel. 100.0; 37.8°, rel. 27.3; 41.4°, rel. 61.1; 45.9°, rel. 29.5

abc: 9.9720 9.9720 9.9720
angles: 115.13 81.87 135.78
Sites, in units of the cell vectors:
Rb1 0.1117 0.7347 0.8465
Rb2 0.2500 0.2500 0.0000
Rb3 0.3883 0.2347 0.6230
Rb4 0.6117 0.7653 0.3770
Rb5 0.7500 0.7500 0.0000
Rb6 0.8883 0.2653 0.1535
Sb1 0.1655 0.1515 0.3170
Sb2 0.3345 0.6515 0.9860
Sb3 0.6655 0.3485 0.0140
Sb4 0.8345 0.8485 0.6830
Au1 0.0124 0.2500 0.7624
Au2 0.1251 0.3994 0.5246
Au3 0.2500 0.7500 0.5000
Au4 0.3749 0.8994 0.2743
Au5 0.4876 0.2500 0.2376
Au6 0.5124 0.7500 0.7624
Au7 0.6251 0.1006 0.7257
Au8 0.7500 0.2500 0.5000
Au9 0.8749 0.6006 0.4754
Au10 0.9876 0.7500 0.2376

=====

Entry 7:
# KTlO2
Computed PXRD pattern, Cu Kα, 1.54184 Å. Input: a crystal structure in Alexandria, relaxed with GGA-PBE.

Most intense lines, 2θ = 15–90°, sorted by position:
23.5°, rel. 48.7; 26.2°, rel. 83.3; 26.7°, rel. 100.0; 29.3°, rel. 67.2; 29.4°, rel. 77.7; 31.3°, rel. 71.0; 32.0°, rel. 78.3; 37.1°, rel. 55.2

abc: 3.7397 6.8603 7.5289
angles: 113.55 100.93 96.26
Sites, in units of the cell vectors:
K1 0.0000 0.0000 0.0000
K2 0.4212 0.6509 0.5458
Tl1 0.6475 0.4515 0.9986
Tl2 0.9038 0.1426 0.5456
O1 0.0040 0.5504 0.7619
O2 0.1832 0.4363 0.1610
O3 0.3635 0.6810 0.9042
O4 0.4611 0.1138 0.7482

=====

Entry 8:
# H3SeI3
Computed PXRD pattern, Cu Kα, 1.54184 Å. Input: a crystal structure in Alexandria, relaxed with GGA-PBE.

Most intense lines, 2θ = 15–90°, sorted by position:
15.0°, rel. 23.0; 21.8°, rel. 14.9; 22.3°, rel. 60.6; 23.2°, rel. 100.0; 28.0°, rel. 27.9; 32.6°, rel. 17.5; 39.7°, rel. 24.0; 47.4°, rel. 11.7

abc: 7.3380 7.9669 9.2177
angles: 90.00 108.55 90.00
Sites, in units of the cell vectors:
H1 0.0543 0.2500 0.3251
H2 0.0966 0.7500 0.5146
H3 0.4081 0.2500 0.8149
H4 0.5919 0.7500 0.1851
H5 0.9034 0.2500 0.4854
H6 0.9457 0.7500 0.6749
Se1 0.1509 0.7500 0.6841
Se2 0.8491 0.2500 0.3159
I1 0.0846 0.7500 0.1613
I2 0.3125 0.2500 0.0103
I3 0.4879 0.2500 0.6519
I4 0.5121 0.7500 0.3481
I5 0.6875 0.7500 0.9897
I6 0.9154 0.2500 0.8387

=====

Entry 9:
# Dy3Er8Mg
Computed PXRD pattern, Cu Kα, 1.54184 Å. Input: a crystal structure in Alexandria, relaxed with GGA-PBE.

Most intense lines, 2θ = 15–90°, sorted by position:
30.6°, rel. 46.2; 31.4°, rel. 53.4; 32.2°, rel. 53.4; 32.4°, rel. 51.4; 33.6°, rel. 100.0; 48.7°, rel. 19.9; 52.1°, rel. 16.1; 62.6°, rel. 31.7

abc: 12.5994 12.5994 8.5462
angles: 102.76 102.76 16.03
Sites, in units of the cell vectors:
Dy1 0.0000 0.0000 0.0000
Dy2 0.0178 0.0178 0.6139
Dy3 0.8644 0.8644 0.9562
Er1 0.1946 0.1946 0.2922
Er2 0.2475 0.2475 0.9670
Er3 0.3962 0.3962 0.6462
Er4 0.4392 0.4392 0.2779
Er5 0.5782 0.5782 0.3342
Er6 0.6183 0.6183 0.9496
Er7 0.7652 0.7652 0.6309
Er8 0.8192 0.8192 0.3053
Mg1 0.1513 0.1513 0.6417

=====

Entry 10:
# CaGaBi
Computed PXRD pattern, Cu Kα, 1.54184 Å. Input: a crystal structure in Alexandria, relaxed with GGA-PBE.

Most intense lines, 2θ = 15–90°, sorted by position:
19.7°, rel. 23.3; 22.3°, rel. 75.7; 28.5°, rel. 95.6; 34.8°, rel. 23.7; 36.1°, rel. 100.0; 40.7°, rel. 36.8; 46.9°, rel. 23.5; 55.5°, rel. 57.6

abc: 5.4977 5.4977 5.4977
angles: 132.43 132.43 69.55
Sites, in units of the cell vectors:
Ca1 0.0000 0.0000 0.0000
Ga1 0.6720 0.6720 0.0000
Bi1 0.3548 0.3548 0.0000

=====

Entry 11:
# LiAcAg2Sn4
Computed PXRD pattern, Cu Kα, 1.54184 Å. Input: a crystal structure in Alexandria, relaxed with GGA-PBE.

Most intense lines, 2θ = 15–90°, sorted by position:
25.9°, rel. 24.1; 29.9°, rel. 55.7; 32.2°, rel. 91.7; 36.9°, rel. 100.0; 49.8°, rel. 27.2; 60.4°, rel. 30.8; 63.6°, rel. 26.6; 66.5°, rel. 18.2

abc: 10.2617 10.2617 10.2617
angles: 27.44 27.44 27.44
Sites, in units of the cell vectors:
Li1 0.0000 0.0000 0.0000
Ac1 0.5000 0.5000 0.5000
Ag1 0.2473 0.2473 0.2473
Ag2 0.7527 0.7527 0.7527
Sn1 0.0988 0.0988 0.0988
Sn2 0.3706 0.3706 0.3706
Sn3 0.6294 0.6294 0.6294
Sn4 0.9012 0.9012 0.9012

=====

Entry 12:
# NaCu2Br6
Computed PXRD pattern, Cu Kα, 1.54184 Å. Input: a crystal structure in Alexandria, relaxed with GGA-PBE.

Most intense lines, 2θ = 15–90°, sorted by position:
20.4°, rel. 100.0; 26.2°, rel. 72.3; 28.2°, rel. 69.0; 29.3°, rel. 58.4; 32.5°, rel. 38.3; 44.0°, rel. 37.7; 46.7°, rel. 52.8; 48.9°, rel. 35.3

abc: 9.5743 9.5743 6.5915
angles: 106.25 106.25 80.26
Sites, in units of the cell vectors:
Na1 0.1357 0.8643 0.7500
Na2 0.8643 0.1357 0.2500
Cu1 0.2121 0.3785 0.7805
Cu2 0.3785 0.2121 0.2805
Cu3 0.6215 0.7879 0.7195
Cu4 0.7879 0.6215 0.2195
Br1 0.0467 0.2064 0.7206
Br2 0.1364 0.6206 0.9478
Br3 0.2064 0.0467 0.2206
Br4 0.2936 0.4396 0.5172
Br5 0.3794 0.8636 0.5522
Br6 0.4396 0.2936 0.0172
Br7 0.5604 0.7064 0.9828
Br8 0.6206 0.1364 0.4478
Br9 0.7064 0.5604 0.4828
Br10 0.7936 0.9533 0.7794
Br11 0.8636 0.3794 0.0522
Br12 0.9533 0.7936 0.2794